The following is a computed powder diffractogram of Nd3P2Pt9. It was derived from a DFT-relaxed cell (GGA-PBE, Alexandria), using Cu Kα, 1.54184 Å.

Top 6 peaks for 2θ from 5° to 70°, sorted by position:
h k l  2θ/deg  I (rel.)
0 0 6  31.07  71.7
2 0 2  36.37  100.0
2 0 3  38.25  94.2
2 0 4  40.76  45.5
2 0 5  43.82  44.7
2 0 8  55.52  39.0

Atomic structure:
```
Nd3P2Pt9
1.0
5.954 0.000 0.000
-2.977 5.156 0.000
0.000 0.000 17.271
Nd P Pt
6 4 18
Cartesian
0.000 0.000 4.318 Nd
0.000 0.000 12.953 Nd
0.000 3.437 1.520 Nd
0.000 3.437 7.115 Nd
2.977 1.719 10.156 Nd
2.977 1.719 15.751 Nd
0.000 3.437 11.297 P
0.000 3.437 14.610 P
2.977 1.719 2.661 P
2.977 1.719 5.975 P
-1.400 2.629 4.318 Pt
0.000 1.642 9.810 Pt
0.000 1.642 16.096 Pt
-1.554 4.335 9.810 Pt
-1.554 4.335 16.096 Pt
1.422 0.821 1.175 Pt
1.422 0.821 7.461 Pt
1.400 2.629 4.318 Pt
0.000 5.054 4.318 Pt
2.977 0.102 12.953 Pt
1.577 2.527 12.953 Pt
1.554 4.335 9.810 Pt
1.554 4.335 16.096 Pt
4.531 0.821 1.175 Pt
4.531 0.821 7.461 Pt
2.977 3.514 1.175 Pt
2.977 3.514 7.461 Pt
4.376 2.527 12.953 Pt
```